1.
Structure and theoretical XRD peak list of CaPmV2O8 (a structure optimized by DFT (PBE+U); Cu Kα (λ = 1.5418 Å)).

Crystal structure
Cell lengths 7.3826, 7.3826, 6.4931 Å; angles 90.00, 90.00, 90.00 degrees
Space group I-4m2 (No. 119)
Inequivalent atoms, fractional coordinates:
1 Ca 0.0000 0.0000 0.0000 x2
2 Pm 0.0000 0.5000 0.7500 x2
3 V 0.0000 0.0000 0.5000 x2
4 V 0.0000 0.5000 0.2500 x2
5 O 0.0000 0.1850 0.6655 x8
6 O 0.0000 0.3182 0.0792 x8

Main lines, in order of falling intensity (10° ≤ 2θ ≤ 90°):
d/Å  I_rel  (hkl)
3.691  100  2 0 0
2.757  63  1 1 2
1.895  56  3 1 2
4.876  31  1 0 1
5.220  24  1 1 0
1.534  17  3 3 2
1.846  16  4 0 0
2.610  16  2 2 0
2.301  14  3 0 1
1.379  13  2 2 4

2.
Structure and theoretical XRD peak list of CaPmW2O8 (a structure optimized by DFT (PBE+U); Cu Kα (λ = 1.5418 Å)).

Crystal structure
Cell lengths 5.3499, 5.3499, 11.4594 Å; angles 90.00, 90.00, 90.00 degrees
Space group I-4 (No. 82)
Inequivalent atoms, fractional coordinates:
1 Ca 0.0000 0.0000 0.0000 x2
2 Pm 0.0000 0.5000 0.2500 x2
3 W 0.0000 0.0000 0.5000 x2
4 W 0.0000 0.5000 0.7500 x2
5 O 0.1649 0.2378 0.4146 x8
6 O 0.1730 0.7558 0.8329 x8

Main lines, in order of falling intensity (10° ≤ 2θ ≤ 90°):
d/Å  I_rel  (hkl)
3.157  100  1 1 2
1.955  30  2 0 4
1.623  28  1 3 2
2.675  21  2 0 0
4.848  21  1 0 1
1.705  17  1 1 6
2.865  15  0 0 4
1.891  14  2 2 0
1.266  13  3 1 6
1.578  12  2 2 4

Which formula does entry 1 have? CaPmV2O8